# 1
The following is a theoretical X-ray powder pattern of LaPm3Co. It was derived from a DFT-relaxed cell (PBE, OQMD), using copper Kα.
No peak broadening, texture or thermal motion is included.

Structural model:
Unit cell a=7.3707 b=7.3707 c=7.3707 alpha=109.41 beta=109.92 gamma=109.09
Atoms (fractional coordinates):
La (0.0403, 0.2500, 0.2903)
La (0.9597, 0.7500, 0.7097)
Pm (0.0852, 0.3375, 0.8377)
Pm (0.0852, 0.7475, 0.2477)
Pm (0.4998, 0.2475, 0.1623)
Pm (0.4998, 0.8375, 0.7523)
Pm (0.5424, 0.3345, 0.7078)
Pm (0.6267, 0.8345, 0.2922)
Co (0.1717, 0.0333, 0.6383)
Co (0.3950, 0.5333, 0.3617)

Most intense lines, 2θ from 15° to 90°, in order of rising 2θ:
2theta, I_rel
25.60, 14
29.66, 100
29.76, 56
33.17, 20
33.28, 20
33.45, 34
39.54, 19
50.26, 19
59.76, 12
79.57, 14

***

# 2
The following is a theoretical X-ray powder pattern of LaPr3Co. It was derived from a DFT-relaxed cell (PBE, OQMD), using copper Kα.
No peak broadening, texture or thermal motion is included.

Structural model:
Unit cell a=7.4729 b=7.4729 c=7.4729 alpha=108.95 beta=109.80 gamma=109.66
Atoms (fractional coordinates):
La (0.0418, 0.2500, 0.2918)
La (0.9582, 0.7500, 0.7082)
Pr (0.3761, 0.1682, 0.7079)
Pr (0.4603, 0.6682, 0.2921)
Pr (0.5020, 0.1657, 0.2468)
Pr (0.5020, 0.7552, 0.8363)
Pr (0.9189, 0.2552, 0.7532)
Pr (0.9189, 0.6657, 0.1637)
Co (0.6053, 0.4706, 0.6347)
Co (0.8359, 0.9706, 0.3653)

Most intense lines, 2θ from 15° to 90°, in order of rising 2θ:
2theta, I_rel
29.23, 100
29.37, 51
32.64, 20
32.93, 51
38.94, 12
41.99, 14
49.51, 17
52.00, 21
54.39, 15
58.73, 13

***

# 3
The following is a theoretical X-ray powder pattern of LaPrTlCo2. It was derived from a DFT-relaxed cell (PBE, OQMD), using copper Kα.
No peak broadening, texture or thermal motion is included.

Structural model:
Unit cell a=3.9959 b=3.9453 c=14.6038 alpha=90.00 beta=90.00 gamma=90.00
Atoms (fractional coordinates):
La (0.0000, 0.0000, 0.0000)
La (0.0000, 0.5000, 0.5000)
Pr (0.0000, 0.0000, 0.2756)
Pr (0.0000, 0.5000, 0.7756)
Tl (0.5000, 0.0000, 0.6394)
Tl (0.5000, 0.5000, 0.1394)
Co (0.5000, 0.0000, 0.4291)
Co (0.5000, 0.0000, 0.8491)
Co (0.5000, 0.5000, 0.3491)
Co (0.5000, 0.5000, 0.9291)

Most intense lines, 2θ from 15° to 90°, in order of rising 2θ:
2theta, I_rel
29.13, 48
32.48, 100
33.24, 78
36.94, 17
38.34, 34
45.39, 21
46.01, 20
54.84, 34
57.93, 32
66.60, 20

***

# 4
The following is a theoretical X-ray powder pattern of LaSm2Co4Si4. It was derived from a DFT-relaxed cell (PBE, OQMD), using copper Kα.
No peak broadening, texture or thermal motion is included.

Structural model:
Unit cell a=12.0470 b=12.0470 c=12.0470 alpha=160.76 beta=160.74 gamma=27.36
Atoms (fractional coordinates):
La (0.0000, 0.0000, 0.0000)
Sm (0.1488, 0.6488, 0.5000)
Sm (0.8512, 0.3512, 0.5000)
Co (0.2494, 0.2494, 0.0000)
Co (0.3992, 0.8992, 0.5000)
Co (0.6008, 0.1008, 0.5000)
Co (0.7506, 0.7506, 0.0000)
Si (0.2998, 0.7998, 0.5000)
Si (0.4473, 0.4473, 0.0000)
Si (0.5527, 0.5527, 0.0000)
Si (0.7002, 0.2002, 0.5000)

Most intense lines, 2θ from 15° to 90°, in order of rising 2θ:
2theta, I_rel
24.88, 32
34.86, 46
35.03, 100
41.32, 20
45.00, 42
48.37, 14
58.17, 21
62.72, 11
65.54, 13
76.53, 19